[1]
Computed powder diffraction line list of Sr8Li3Ca2 for copper Kα, from a cell relaxed with GGA-PBE.
No peak broadening, texture or thermal motion is included.

The 6 most intense peaks (2θ from 10° to 90°), in order of rising 2θ:
d_spacing, intensity
5.036, 20
3.810, 31
3.160, 56
3.130, 100
2.214, 20
1.818, 32

Cell lengths 9.623, 6.264, 10.981 Å; angles 90.00, 112.13, 90.00 degrees
Positions (direct):
Sr  0.095  0.000  0.356
Sr  0.108  0.500  0.880
Sr  0.360  0.500  0.285
Sr  0.389  0.000  0.800
Sr  0.611  0.000  0.200
Sr  0.640  0.500  0.715
Sr  0.892  0.500  0.120
Sr  0.905  0.000  0.644
Li  0.176  0.000  0.055
Li  0.500  0.500  0.000
Li  0.824  0.000  0.945
Ca  0.199  0.500  0.577
Ca  0.801  0.500  0.423


[2]
Computed powder diffraction line list of Sr5Li4Ca for copper Kα, from a cell relaxed with GGA-PBE.
No peak broadening, texture or thermal motion is included.

The 6 most intense peaks (2θ from 10° to 90°), in order of rising 2θ:
d_spacing, intensity
4.421, 32
4.254, 78
3.065, 100
3.008, 59
2.487, 30
1.747, 38

Cell lengths 4.254, 4.254, 22.106 Å; angles 90.00, 90.00, 90.00 degrees
Positions (direct):
Sr  0.000  0.000  0.000
Sr  0.000  0.000  0.189
Sr  0.000  0.000  0.378
Sr  0.000  0.000  0.622
Sr  0.000  0.000  0.811
Li  0.500  0.500  0.095
Li  0.500  0.500  0.285
Li  0.500  0.500  0.715
Li  0.500  0.500  0.905
Ca  0.500  0.500  0.500


[3]
Computed powder diffraction line list of SrLiCa2 for copper Kα, from a cell relaxed with GGA-PBE.
No peak broadening, texture or thermal motion is included.

The 6 most intense peaks (2θ from 10° to 90°), in order of rising 2θ:
d_spacing, intensity
5.280, 38
3.907, 37
3.141, 100
2.640, 31
1.953, 24
1.605, 25

Cell lengths 5.280, 5.280, 5.808 Å; angles 90.00, 90.00, 90.00 degrees
Positions (direct):
Sr  0.000  0.000  0.000
Li  0.500  0.500  0.000
Ca  0.000  0.500  0.500
Ca  0.500  0.000  0.500


[4]
Computed powder diffraction line list of LiCaTc for copper Kα, from a cell relaxed with GGA-PBE.
No peak broadening, texture or thermal motion is included.

The 6 most intense peaks (2θ from 10° to 90°), in order of rising 2θ:
d_spacing, intensity
4.933, 47
3.264, 44
3.098, 47
2.593, 100
2.099, 78
2.053, 66

Cell lengths 7.277, 4.197, 10.154 Å; angles 90.00, 103.68, 90.00 degrees
Positions (direct):
Li  0.000  0.000  0.000
Li  0.145  0.000  0.432
Li  0.500  0.500  0.000
Li  0.645  0.500  0.432
Ca  0.252  0.000  0.756
Ca  0.253  0.500  0.256
Ca  0.752  0.500  0.756
Ca  0.753  0.000  0.256
Tc  0.008  0.500  0.522
Tc  0.356  0.500  0.566
Tc  0.508  0.000  0.522
Tc  0.856  0.000  0.566


[5]
Computed powder diffraction line list of LiCa3Te4 for copper Kα, from a cell relaxed with GGA-PBE.
No peak broadening, texture or thermal motion is included.

The 6 most intense peaks (2θ from 10° to 90°), in order of rising 2θ:
d_spacing, intensity
3.649, 63
3.160, 100
2.235, 75
1.906, 32
1.825, 26
1.413, 33

Cell lengths 6.321, 6.321, 6.321 Å; angles 90.00, 90.00, 90.00 degrees
Positions (direct):
Li  0.000  0.000  0.000
Ca  0.000  0.500  0.500
Ca  0.500  0.000  0.500
Ca  0.500  0.500  0.000
Te  0.000  0.000  0.500
Te  0.000  0.500  0.000
Te  0.500  0.000  0.000
Te  0.500  0.500  0.500


[6]
Computed powder diffraction line list of LiCa2Te2 for copper Kα, from a cell relaxed with GGA-PBE.
No peak broadening, texture or thermal motion is included.

The 6 most intense peaks (2θ from 10° to 90°), in order of rising 2θ:
d_spacing, intensity
5.881, 23
4.158, 17
3.719, 24
2.794, 100
2.630, 22
1.451, 17

Cell lengths 8.317, 8.317, 4.231 Å; angles 90.00, 90.00, 90.00 degrees
Positions (direct):
Li  0.000  0.000  0.000
Li  0.500  0.500  0.000
Ca  0.150  0.350  0.500
Ca  0.350  0.850  0.500
Ca  0.650  0.150  0.500
Ca  0.850  0.650  0.500
Te  0.159  0.659  0.000
Te  0.341  0.159  0.000
Te  0.659  0.841  0.000
Te  0.841  0.341  0.000


[7]
Computed powder diffraction line list of LiCa3Te3 for copper Kα, from a cell relaxed with GGA-PBE.
No peak broadening, texture or thermal motion is included.

The 6 most intense peaks (2θ from 10° to 90°), in order of rising 2θ:
d_spacing, intensity
3.744, 74
3.250, 100
3.227, 51
2.298, 37
2.290, 78
1.872, 38

Cell lengths 10.213, 10.213, 12.990 Å; angles 90.00, 90.00, 37.15 degrees
Positions (direct):
Li  0.083  0.083  0.000
Li  0.417  0.417  0.500
Li  0.583  0.583  0.500
Li  0.917  0.917  0.000
Ca  0.048  0.605  0.365
Ca  0.105  0.548  0.865
Ca  0.208  0.792  0.643
Ca  0.292  0.708  0.143
Ca  0.395  0.952  0.365
Ca  0.452  0.895  0.865
Ca  0.548  0.105  0.135
Ca  0.605  0.048  0.635
Ca  0.708  0.292  0.857
Ca  0.792  0.208  0.357
Ca  0.895  0.452  0.135
Ca  0.952  0.395  0.635
Te  0.070  0.602  0.121
Te  0.102  0.570  0.621
Te  0.232  0.768  0.882
Te  0.268  0.732  0.382
Te  0.398  0.930  0.121
Te  0.430  0.898  0.621
Te  0.570  0.102  0.379
Te  0.602  0.070  0.879
Te  0.732  0.268  0.618
Te  0.768  0.232  0.118
Te  0.898  0.430  0.379
Te  0.930  0.398  0.879


[8]
Computed powder diffraction line list of Li2Ca3Tl for copper Kα, from a cell relaxed with GGA-PBE.
No peak broadening, texture or thermal motion is included.

The 6 most intense peaks (2θ from 10° to 90°), in order of rising 2θ:
d_spacing, intensity
5.898, 36
3.735, 45
3.275, 31
2.783, 100
2.710, 21
1.607, 37

Cell lengths 3.938, 3.938, 11.796 Å; angles 90.00, 90.00, 90.00 degrees
Positions (direct):
Li  0.000  0.000  0.171
Li  0.000  0.000  0.829
Ca  0.500  0.500  0.000
Ca  0.500  0.500  0.341
Ca  0.500  0.500  0.659
Tl  0.000  0.000  0.500


[9]
Computed powder diffraction line list of Li2CaTl2 for copper Kα, from a cell relaxed with GGA-PBE.
No peak broadening, texture or thermal motion is included.

The 6 most intense peaks (2θ from 10° to 90°), in order of rising 2θ:
d_spacing, intensity
5.961, 30
3.770, 100
3.492, 46
2.666, 35
2.562, 82
2.119, 33

Cell lengths 8.431, 8.431, 3.492 Å; angles 90.00, 90.00, 90.00 degrees
Positions (direct):
Li  0.161  0.339  0.000
Li  0.339  0.839  0.000
Li  0.661  0.161  0.000
Li  0.839  0.661  0.000
Ca  0.000  0.000  0.500
Ca  0.500  0.500  0.500
Tl  0.135  0.635  0.500
Tl  0.365  0.135  0.500
Tl  0.635  0.865  0.500
Tl  0.865  0.365  0.500


[10]
Computed powder diffraction line list of Li2Ca3Tl5 for copper Kα, from a cell relaxed with GGA-PBE.
No peak broadening, texture or thermal motion is included.

The 6 most intense peaks (2θ from 10° to 90°), in order of rising 2θ:
d_spacing, intensity
4.173, 100
3.213, 43
2.730, 66
2.708, 87
2.500, 52
2.285, 45

Cell lengths 11.256, 11.256, 4.173 Å; angles 90.00, 90.00, 90.00 degrees
Positions (direct):
Li  0.117  0.383  0.000
Li  0.383  0.883  0.000
Li  0.617  0.117  0.000
Li  0.883  0.617  0.000
Ca  0.000  0.000  0.000
Ca  0.177  0.677  0.000
Ca  0.323  0.177  0.000
Ca  0.500  0.500  0.000
Ca  0.677  0.823  0.000
Ca  0.823  0.323  0.000
Tl  0.000  0.500  0.500
Tl  0.067  0.214  0.500
Tl  0.214  0.933  0.500
Tl  0.286  0.433  0.500
Tl  0.433  0.714  0.500
Tl  0.500  0.000  0.500
Tl  0.567  0.286  0.500
Tl  0.714  0.567  0.500
Tl  0.786  0.067  0.500
Tl  0.933  0.786  0.500


[11]
Computed powder diffraction line list of Li6Ca3Tl2 for copper Kα, from a cell relaxed with GGA-PBE.
No peak broadening, texture or thermal motion is included.

The 6 most intense peaks (2θ from 10° to 90°), in order of rising 2θ:
d_spacing, intensity
4.228, 100
3.962, 48
3.016, 57
2.736, 83
2.410, 59
1.682, 39

Cell lengths 16.336, 16.336, 16.336 Å; angles 165.00, 165.00, 21.28 degrees
Positions (direct):
Li  0.109  0.609  0.500
Li  0.171  0.171  0.000
Li  0.391  0.891  0.500
Li  0.609  0.109  0.500
Li  0.829  0.829  0.000
Li  0.891  0.391  0.500
Ca  0.289  0.289  0.000
Ca  0.500  0.500  0.000
Ca  0.711  0.711  0.000
Tl  0.050  0.050  0.000
Tl  0.950  0.950  0.000


[12]
Computed powder diffraction line list of LiCa2Tl6 for copper Kα, from a cell relaxed with GGA-PBE.
No peak broadening, texture or thermal motion is included.

The 6 most intense peaks (2θ from 10° to 90°), in order of rising 2θ:
d_spacing, intensity
4.284, 28
3.122, 23
2.944, 23
2.663, 100
2.142, 28
1.700, 32

Cell lengths 6.798, 6.798, 6.245 Å; angles 90.00, 90.00, 120.00 degrees
Positions (direct):
Li  0.000  0.000  0.000
Ca  0.333  0.667  0.826
Ca  0.667  0.333  0.174
Tl  0.175  0.349  0.301
Tl  0.175  0.825  0.301
Tl  0.349  0.175  0.699
Tl  0.651  0.825  0.301
Tl  0.825  0.175  0.699
Tl  0.825  0.651  0.699